For Mn3Br3O, a cell relaxed with PBE+U gives the computed XRD peak list in this record (Cu Kα (λ = 1.5418 Å)).
No peak broadening, texture or thermal motion is included.

Atomic structure:
Cell lengths 7.7206, 12.1837, 8.3281 Å; angles 90.00, 116.57, 90.00 degrees
Atoms (fractional coordinates):
1 Mn 0.0393 0.0496 0.1612
2 Mn 0.0393 0.4504 0.6612
3 Mn 0.1375 0.1011 0.5745
4 Mn 0.1375 0.3989 0.0745
5 Mn 0.3434 0.6295 0.9922
6 Mn 0.3434 0.8705 0.4922
7 Mn 0.6566 0.1295 0.5078
8 Mn 0.6566 0.3705 0.0078
9 Mn 0.8625 0.6011 0.9255
10 Mn 0.8625 0.8989 0.4255
11 Mn 0.9607 0.5496 0.3388
12 Mn 0.9607 0.9504 0.8388
13 Br 0.2129 0.7007 0.2438
14 Br 0.2129 0.7993 0.7438
15 Br 0.2835 0.2293 0.3327
16 Br 0.2835 0.2707 0.8327
17 Br 0.4840 0.5386 0.7686
18 Br 0.4840 0.9614 0.2686
19 Br 0.5160 0.0386 0.7314
20 Br 0.5160 0.4614 0.2314
21 Br 0.7165 0.7293 0.1673
22 Br 0.7165 0.7707 0.6673
23 Br 0.7871 0.2007 0.2562
24 Br 0.7871 0.2993 0.7562
25 O 0.0938 0.5339 0.8949
26 O 0.0938 0.9661 0.3949
27 O 0.9062 0.0339 0.6051
28 O 0.9062 0.4661 0.1051

Main lines, by intensity (2θ from 10° to 80°):
h k l  Position (°2θ)  I/Imax
2 2 0  29.74  100
0 1 1  13.94  67
2 2 -2  30.09  57
1 2 -2  26.01  46
0 3 2  32.62  40
0 4 1  31.74  33
0 4 2  38.17  31
2 2 -3  36.92  30
2 3 0  34.08  29
2 6 -1  50.81  28